For SrZrS2F, a cell relaxed with GGA-PBE gives the computed powder diffractogram in this record (Cu Ka).

Crystal structure
```
SrZrS2F
1.0
3.823 0.000 0.000
0.000 3.823 0.000
0.000 0.000 13.637
Sr Zr S F
2 2 4 2
direct
0.250 0.250 0.113 Sr
0.750 0.750 0.887 Sr
0.250 0.250 0.601 Zr
0.750 0.750 0.399 Zr
0.250 0.250 0.402 S
0.250 0.250 0.780 S
0.750 0.750 0.220 S
0.750 0.750 0.598 S
0.250 0.750 0.000 F
0.750 0.250 0.000 F
```

Top 6 peaks for 2θ from 10° to 80°, in order of rising 2θ:
h k l	two_theta	d_spacing	I_rel
0 0 4	26.14	3.409	31
1 0 2	26.73	3.335	100
1 1 0	33.14	2.704	85
1 1 4	42.68	2.118	53
1 0 6	46.48	1.954	28
2 0 0	47.56	1.912	40